[1]
# K4PuS4
Theoretical powder XRD pattern, a wavelength of 1.5418 Å. Input: a crystal structure in Alexandria, relaxed with PBE.
No peak broadening, texture or thermal motion is included.

Principal peaks in the range 2θ from 10° to 90°, by intensity:
- 2θ 13.47, rel. 100
- 2θ 27.08, rel. 31
- 2θ 33.39, rel. 31
- 2θ 23.51, rel. 28
- 2θ 16.47, rel. 25
- 2θ 36.21, rel. 25
- 2θ 33.28, rel. 17
- 2θ 23.37, rel. 16
- 2θ 53.89, rel. 12
- 2θ 47.83, rel. 12

Structure:
```
data_K4PuS4
_space_group_name_H-M_alt 'P 1'
_space_group_IT_number 1
_cell_length_a 8.4724
_cell_length_b 8.4724
_cell_length_c 8.4724
_cell_angle_alpha 126.60
_cell_angle_beta 126.60
_cell_angle_gamma 78.90
loop_
_space_group_symop_operation_xyz
'x,y,z'
loop_
_atom_site_label
_atom_site_type_symbol
_atom_site_fract_x
_atom_site_fract_y
_atom_site_fract_z
K1 K 0.0000 0.5000 0.5000
K2 K 0.2028 0.2028 0.0000
K3 K 0.5000 0.0000 0.5000
K4 K 0.7972 0.7972 0.0000
Pu1 Pu 0.5000 0.5000 0.0000
S1 S 0.1916 0.5867 0.0000
S2 S 0.4133 0.4133 0.6049
S3 S 0.5867 0.1916 0.0000
S4 S 0.8084 0.8084 0.3951
```

[2]
# BiTe3Pd12
Theoretical powder XRD pattern, a wavelength of 1.5418 Å. Input: a crystal structure in Alexandria, relaxed with PBE.
No peak broadening, texture or thermal motion is included.

Principal peaks in the range 2θ from 10° to 90°, by intensity:
- 2θ 37.92, rel. 100
- 2θ 44.33, rel. 32
- 2θ 77.32, rel. 24
- 2θ 63.88, rel. 21
- 2θ 43.53, rel. 16
- 2θ 76.18, rel. 12
- 2θ 81.05, rel. 10
- 2θ 64.49, rel. 10
- 2θ 27.11, rel. 1
- 2θ 21.75, rel. 1

Structure:
```
data_BiTe3Pd12
_space_group_name_H-M_alt 'P 1'
_space_group_IT_number 1
_cell_length_a 4.0866
_cell_length_b 4.0866
_cell_length_c 16.6319
_cell_angle_alpha 90.00
_cell_angle_beta 90.00
_cell_angle_gamma 90.00
loop_
_space_group_symop_operation_xyz
'x,y,z'
loop_
_atom_site_label
_atom_site_type_symbol
_atom_site_fract_x
_atom_site_fract_y
_atom_site_fract_z
Bi1 Bi 0.0000 0.0000 0.0000
Te1 Te 0.0000 0.0000 0.2577
Te2 Te 0.0000 0.0000 0.5000
Te3 Te 0.0000 0.0000 0.7423
Pd1 Pd 0.0000 0.5000 0.1246
Pd2 Pd 0.0000 0.5000 0.3721
Pd3 Pd 0.0000 0.5000 0.6279
Pd4 Pd 0.0000 0.5000 0.8754
Pd5 Pd 0.5000 0.0000 0.1246
Pd6 Pd 0.5000 0.0000 0.3721
Pd7 Pd 0.5000 0.0000 0.6279
Pd8 Pd 0.5000 0.0000 0.8754
Pd9 Pd 0.5000 0.5000 0.0000
Pd10 Pd 0.5000 0.5000 0.2442
Pd11 Pd 0.5000 0.5000 0.5000
Pd12 Pd 0.5000 0.5000 0.7558
```

[3]
# Ac3CdSb2Pd9
Theoretical powder XRD pattern, a wavelength of 1.5418 Å. Input: a crystal structure in Alexandria, relaxed with PBE.
No peak broadening, texture or thermal motion is included.

Principal peaks in the range 2θ from 10° to 90°, by intensity:
- 2θ 35.94, rel. 100
- 2θ 32.68, rel. 52
- 2θ 27.22, rel. 37
- 2θ 40.86, rel. 29
- 2θ 45.66, rel. 29
- 2θ 56.14, rel. 26
- 2θ 33.98, rel. 25
- 2θ 23.02, rel. 21
- 2θ 54.16, rel. 20
- 2θ 16.80, rel. 18

Structure:
```
data_Ac3CdSb2Pd9
_space_group_name_H-M_alt 'P 1'
_space_group_IT_number 1
_cell_length_a 6.5531
_cell_length_b 6.5531
_cell_length_c 10.5523
_cell_angle_alpha 90.00
_cell_angle_beta 90.00
_cell_angle_gamma 120.00
loop_
_space_group_symop_operation_xyz
'x,y,z'
loop_
_atom_site_label
_atom_site_type_symbol
_atom_site_fract_x
_atom_site_fract_y
_atom_site_fract_z
Ac1 Ac 0.0000 0.0000 0.0000
Ac2 Ac 0.3333 0.6667 0.7379
Ac3 Ac 0.6667 0.3333 0.2621
Cd1 Cd 0.0000 0.0000 0.5000
Sb1 Sb 0.3333 0.6667 0.1734
Sb2 Sb 0.6667 0.3333 0.8266
Pd1 Pd 0.0000 0.5000 0.0000
Pd2 Pd 0.1359 0.2718 0.2828
Pd3 Pd 0.1359 0.8641 0.2828
Pd4 Pd 0.2718 0.1359 0.7172
Pd5 Pd 0.5000 0.0000 0.0000
Pd6 Pd 0.5000 0.5000 0.0000
Pd7 Pd 0.7282 0.8641 0.2828
Pd8 Pd 0.8641 0.1359 0.7172
Pd9 Pd 0.8641 0.7282 0.7172
```

[4]
# K17TlCd11
Theoretical powder XRD pattern, a wavelength of 1.5418 Å. Input: a crystal structure in Alexandria, relaxed with PBE.
No peak broadening, texture or thermal motion is included.

Principal peaks in the range 2θ from 10° to 90°, by intensity:
- 2θ 28.30, rel. 100
- 2θ 16.23, rel. 81
- 2θ 31.34, rel. 78
- 2θ 31.50, rel. 26
- 2θ 50.06, rel. 26
- 2θ 28.38, rel. 25
- 2θ 34.15, rel. 22
- 2θ 36.78, rel. 21
- 2θ 18.78, rel. 19
- 2θ 39.23, rel. 19

Structure:
```
data_K17TlCd11
_space_group_name_H-M_alt 'P 1'
_space_group_IT_number 1
_cell_length_a 11.5999
_cell_length_b 11.5999
_cell_length_c 11.5348
_cell_angle_alpha 109.41
_cell_angle_beta 109.41
_cell_angle_gamma 109.53
loop_
_space_group_symop_operation_xyz
'x,y,z'
loop_
_atom_site_label
_atom_site_type_symbol
_atom_site_fract_x
_atom_site_fract_y
_atom_site_fract_z
K1 K 0.0000 0.0000 0.0000
K2 K 0.9999 0.6727 0.0001
K3 K 0.0009 0.0009 0.6691
K4 K 0.0019 0.4186 0.6985
K5 K 0.0021 0.6970 0.4194
K6 K 0.2856 0.5861 0.5858
K7 K 0.3022 0.7186 0.3016
K8 K 0.3053 0.3053 0.7218
K9 K 0.3293 0.3293 0.3299
K10 K 0.4164 0.6996 0.0009
K11 K 0.4186 0.0019 0.6985
K12 K 0.5861 0.2856 0.5858
K13 K 0.5857 0.5857 0.2832
K14 K 0.6727 0.9999 0.0001
K15 K 0.6970 0.0021 0.4194
K16 K 0.6996 0.4164 0.0009
K17 K 0.7186 0.3022 0.3016
Tl1 Tl 0.6517 0.6517 0.8306
Cd1 Cd 0.0012 0.1746 0.3434
Cd2 Cd 0.0012 0.3411 0.1703
Cd3 Cd 0.1723 0.8321 0.8312
Cd4 Cd 0.1740 0.3426 0.0015
Cd5 Cd 0.1746 0.0012 0.3434
Cd6 Cd 0.3411 0.0012 0.1703
Cd7 Cd 0.3426 0.1740 0.0015
Cd8 Cd 0.6600 0.8324 0.6584
Cd9 Cd 0.8321 0.1723 0.8312
Cd10 Cd 0.8324 0.6600 0.6584
Cd11 Cd 0.8347 0.8347 0.1766
```

[5]
# Dy5Cd2RuRh2
Theoretical powder XRD pattern, a wavelength of 1.5418 Å. Input: a crystal structure in Alexandria, relaxed with PBE.
No peak broadening, texture or thermal motion is included.

Principal peaks in the range 2θ from 10° to 90°, by intensity:
- 2θ 35.28, rel. 100
- 2θ 31.92, rel. 49
- 2θ 37.85, rel. 40
- 2θ 32.87, rel. 20
- 2θ 62.56, rel. 17
- 2θ 51.61, rel. 17
- 2θ 34.70, rel. 16
- 2θ 33.47, rel. 15
- 2θ 61.97, rel. 14
- 2θ 56.66, rel. 13

Structure:
```
data_Dy5Cd2RuRh2
_space_group_name_H-M_alt 'P 1'
_space_group_IT_number 1
_cell_length_a 11.5612
_cell_length_b 11.5612
_cell_length_c 3.5423
_cell_angle_alpha 90.00
_cell_angle_beta 90.00
_cell_angle_gamma 90.00
loop_
_space_group_symop_operation_xyz
'x,y,z'
loop_
_atom_site_label
_atom_site_type_symbol
_atom_site_fract_x
_atom_site_fract_y
_atom_site_fract_z
Dy1 Dy 0.0000 0.5000 0.0000
Dy2 Dy 0.0677 0.1944 0.0000
Dy3 Dy 0.1944 0.9323 0.0000
Dy4 Dy 0.3056 0.4323 0.0000
Dy5 Dy 0.4323 0.6944 0.0000
Dy6 Dy 0.5000 0.0000 0.0000
Dy7 Dy 0.5677 0.3056 0.0000
Dy8 Dy 0.6944 0.5677 0.0000
Dy9 Dy 0.8056 0.0677 0.0000
Dy10 Dy 0.9323 0.8056 0.0000
Cd1 Cd 0.1783 0.6783 0.5000
Cd2 Cd 0.3217 0.1783 0.5000
Cd3 Cd 0.6783 0.8217 0.5000
Cd4 Cd 0.8217 0.3217 0.5000
Ru1 Ru 0.0000 0.0000 0.5000
Ru2 Ru 0.5000 0.5000 0.5000
Rh1 Rh 0.1322 0.3678 0.5000
Rh2 Rh 0.3678 0.8678 0.5000
Rh3 Rh 0.6322 0.1322 0.5000
Rh4 Rh 0.8678 0.6322 0.5000
```

[6]
# Sm6SnS5
Theoretical powder XRD pattern, a wavelength of 1.5418 Å. Input: a crystal structure in Alexandria, relaxed with PBE.
No peak broadening, texture or thermal motion is included.

Principal peaks in the range 2θ from 10° to 90°, by intensity:
- 2θ 30.85, rel. 100
- 2θ 26.64, rel. 50
- 2θ 44.15, rel. 36
- 2θ 44.25, rel. 36
- 2θ 54.92, rel. 19
- 2θ 73.08, rel. 16
- 2θ 81.38, rel. 15
- 2θ 52.33, rel. 12
- 2θ 64.29, rel. 11
- 2θ 72.95, rel. 10

Structure:
```
data_Sm6SnS5
_space_group_name_H-M_alt 'P 1'
_space_group_IT_number 1
_cell_length_a 7.0914
_cell_length_b 7.0914
_cell_length_c 7.1140
_cell_angle_alpha 99.59
_cell_angle_beta 99.59
_cell_angle_gamma 120.02
loop_
_space_group_symop_operation_xyz
'x,y,z'
loop_
_atom_site_label
_atom_site_type_symbol
_atom_site_fract_x
_atom_site_fract_y
_atom_site_fract_z
Sm1 Sm 0.0679 0.4135 0.7400
Sm2 Sm 0.2396 0.2396 0.2571
Sm3 Sm 0.4135 0.0679 0.7400
Sm4 Sm 0.5865 0.9321 0.2600
Sm5 Sm 0.7604 0.7604 0.7429
Sm6 Sm 0.9321 0.5865 0.2600
Sn1 Sn 0.5000 0.5000 0.0000
S1 S 0.0000 0.0000 0.5000
S2 S 0.1680 0.8320 0.0000
S3 S 0.3385 0.6615 0.5000
S4 S 0.6615 0.3385 0.5000
S5 S 0.8320 0.1680 0.0000
```

[7]
# BeInPb
Theoretical powder XRD pattern, a wavelength of 1.5418 Å. Input: a crystal structure in Alexandria, relaxed with PBE.
No peak broadening, texture or thermal motion is included.

Principal peaks in the range 2θ from 10° to 90°, by intensity:
- 2θ 27.85, rel. 100
- 2θ 34.29, rel. 32
- 2θ 42.17, rel. 19
- 2θ 57.56, rel. 18
- 2θ 35.98, rel. 17
- 2θ 40.69, rel. 16
- 2θ 13.83, rel. 14
- 2θ 63.26, rel. 14
- 2θ 38.86, rel. 12
- 2θ 43.34, rel. 11

Structure:
```
data_BeInPb
_space_group_name_H-M_alt 'P 1'
_space_group_IT_number 1
_cell_length_a 6.7113
_cell_length_b 6.7113
_cell_length_c 3.2557
_cell_angle_alpha 99.86
_cell_angle_beta 99.86
_cell_angle_gamma 28.54
loop_
_space_group_symop_operation_xyz
'x,y,z'
loop_
_atom_site_label
_atom_site_type_symbol
_atom_site_fract_x
_atom_site_fract_y
_atom_site_fract_z
Be1 Be 0.0000 0.0000 0.0000
In1 In 0.6143 0.6143 0.5662
Pb1 Pb 0.3421 0.3421 0.5944
```

[8]
# Te5PCl2
Theoretical powder XRD pattern, a wavelength of 1.5418 Å. Input: a crystal structure in Alexandria, relaxed with PBE.
No peak broadening, texture or thermal motion is included.

Principal peaks in the range 2θ from 10° to 90°, by intensity:
- 2θ 12.17, rel. 100
- 2θ 28.62, rel. 99
- 2θ 33.57, rel. 42
- 2θ 33.67, rel. 29
- 2θ 24.48, rel. 26
- 2θ 46.84, rel. 19
- 2θ 41.29, rel. 19
- 2θ 42.50, rel. 18
- 2θ 37.09, rel. 16
- 2θ 16.64, rel. 16

Structure:
```
data_Te5PCl2
_space_group_name_H-M_alt 'P 1'
_space_group_IT_number 1
_cell_length_a 6.3897
_cell_length_b 6.3903
_cell_length_c 7.5967
_cell_angle_alpha 101.70
_cell_angle_beta 101.53
_cell_angle_gamma 91.71
loop_
_space_group_symop_operation_xyz
'x,y,z'
loop_
_atom_site_label
_atom_site_type_symbol
_atom_site_fract_x
_atom_site_fract_y
_atom_site_fract_z
Te1 Te 0.0000 0.0000 0.0000
Te2 Te 0.0001 0.4920 0.9730
Te3 Te 0.2773 0.5544 0.3105
Te4 Te 0.5033 0.0121 0.0094
Te5 Te 0.5113 0.5017 0.9964
P1 P 0.6749 0.8793 0.7338
Cl1 Cl 0.6609 0.1243 0.5903
Cl2 Cl 0.9913 0.5886 0.5068
```

[9]
# Dy2Tm2Hg
Theoretical powder XRD pattern, a wavelength of 1.5418 Å. Input: a crystal structure in Alexandria, relaxed with PBE.
No peak broadening, texture or thermal motion is included.

Principal peaks in the range 2θ from 10° to 90°, by intensity:
- 2θ 33.39, rel. 100
- 2θ 35.77, rel. 45
- 2θ 62.77, rel. 33
- 2θ 51.49, rel. 16
- 2θ 58.10, rel. 16
- 2θ 18.04, rel. 13
- 2θ 20.75, rel. 11
- 2θ 26.13, rel. 10
- 2θ 70.14, rel. 9
- 2θ 44.18, rel. 9

Structure:
```
data_Dy2Tm2Hg
_space_group_name_H-M_alt 'P 1'
_space_group_IT_number 1
_cell_length_a 12.8017
_cell_length_b 12.8017
_cell_length_c 12.8017
_cell_angle_alpha 157.39
_cell_angle_beta 157.39
_cell_angle_gamma 32.20
loop_
_space_group_symop_operation_xyz
'x,y,z'
loop_
_atom_site_label
_atom_site_type_symbol
_atom_site_fract_x
_atom_site_fract_y
_atom_site_fract_z
Dy1 Dy 0.0491 0.2991 0.7500
Dy2 Dy 0.2991 0.0491 0.2500
Dy3 Dy 0.7009 0.9509 0.7500
Dy4 Dy 0.9509 0.7009 0.2500
Tm1 Tm 0.1981 0.4481 0.7500
Tm2 Tm 0.4481 0.1981 0.2500
Tm3 Tm 0.5519 0.8019 0.7500
Tm4 Tm 0.8019 0.5519 0.2500
Hg1 Hg 0.1250 0.8750 0.2500
Hg2 Hg 0.8750 0.1250 0.7500
```

[10]
# Pr3Cu3Si
Theoretical powder XRD pattern, a wavelength of 1.5418 Å. Input: a crystal structure in Alexandria, relaxed with PBE.
No peak broadening, texture or thermal motion is included.

Principal peaks in the range 2θ from 10° to 90°, by intensity:
- 2θ 31.96, rel. 100
- 2θ 33.12, rel. 64
- 2θ 31.71, rel. 49
- 2θ 42.66, rel. 49
- 2θ 39.80, rel. 48
- 2θ 33.85, rel. 40
- 2θ 38.41, rel. 36
- 2θ 27.56, rel. 32
- 2θ 33.23, rel. 28
- 2θ 25.64, rel. 27

Structure:
```
data_Pr3Cu3Si
_space_group_name_H-M_alt 'P 1'
_space_group_IT_number 1
_cell_length_a 5.7054
_cell_length_b 5.7054
_cell_length_c 14.9241
_cell_angle_alpha 108.14
_cell_angle_beta 108.14
_cell_angle_gamma 43.61
loop_
_space_group_symop_operation_xyz
'x,y,z'
loop_
_atom_site_label
_atom_site_type_symbol
_atom_site_fract_x
_atom_site_fract_y
_atom_site_fract_z
Pr1 Pr 0.0387 0.0387 0.3911
Pr2 Pr 0.0999 0.0999 0.9191
Pr3 Pr 0.2577 0.2577 0.2368
Pr4 Pr 0.7423 0.7423 0.7632
Pr5 Pr 0.9001 0.9001 0.0809
Pr6 Pr 0.9613 0.9613 0.6089
Cu1 Cu 0.3540 0.3540 0.4606
Cu2 Cu 0.3979 0.3979 0.9218
Cu3 Cu 0.4468 0.4468 0.7629
Cu4 Cu 0.5532 0.5532 0.2371
Cu5 Cu 0.6021 0.6021 0.0782
Cu6 Cu 0.6460 0.6460 0.5394
Si1 Si 0.2531 0.2531 0.6066
Si2 Si 0.7469 0.7469 0.3934
```

[11]
# Cs2PrSnSe4
Theoretical powder XRD pattern, a wavelength of 1.5418 Å. Input: a crystal structure in Alexandria, relaxed with PBE.
No peak broadening, texture or thermal motion is included.

Principal peaks in the range 2θ from 10° to 90°, by intensity:
- 2θ 23.47, rel. 100
- 2θ 27.13, rel. 89
- 2θ 23.22, rel. 85
- 2θ 32.22, rel. 73
- 2θ 13.41, rel. 73
- 2θ 27.41, rel. 60
- 2θ 43.09, rel. 51
- 2θ 42.53, rel. 43
- 2θ 13.22, rel. 43
- 2θ 40.39, rel. 35

Structure:
```
data_Cs2PrSnSe4
_space_group_name_H-M_alt 'P 1'
_space_group_IT_number 1
_cell_length_a 15.3237
_cell_length_b 13.6830
_cell_length_c 8.5587
_cell_angle_alpha 83.71
_cell_angle_beta 62.57
_cell_angle_gamma 33.72
loop_
_space_group_symop_operation_xyz
'x,y,z'
loop_
_atom_site_label
_atom_site_type_symbol
_atom_site_fract_x
_atom_site_fract_y
_atom_site_fract_z
Cs1 Cs 0.0577 0.0577 0.6923
Cs2 Cs 0.3077 0.3077 0.9423
Cs3 Cs 0.6923 0.6923 0.0577
Cs4 Cs 0.9423 0.9423 0.3077
Pr1 Pr 0.1250 0.1250 0.1250
Pr2 Pr 0.8750 0.8750 0.8750
Sn1 Sn 0.3750 0.3750 0.3750
Sn2 Sn 0.6250 0.6250 0.6250
Se1 Se 0.0195 0.3374 0.4340
Se2 Se 0.2908 0.5660 0.6626
Se3 Se 0.3374 0.0195 0.7092
Se4 Se 0.4340 0.7092 0.0195
Se5 Se 0.5660 0.2908 0.9805
Se6 Se 0.6626 0.9805 0.2908
Se7 Se 0.7092 0.4340 0.3374
Se8 Se 0.9805 0.6626 0.5660
```

[12]
# Ce5ZrGe4
Theoretical powder XRD pattern, a wavelength of 1.5418 Å. Input: a crystal structure in Alexandria, relaxed with PBE.
No peak broadening, texture or thermal motion is included.

Principal peaks in the range 2θ from 10° to 90°, by intensity:
- 2θ 32.78, rel. 100
- 2θ 40.60, rel. 54
- 2θ 33.25, rel. 36
- 2θ 26.27, rel. 35
- 2θ 41.36, rel. 30
- 2θ 52.21, rel. 22
- 2θ 25.41, rel. 22
- 2θ 42.42, rel. 21
- 2θ 68.69, rel. 19
- 2θ 54.07, rel. 18

Structure:
```
data_Ce5ZrGe4
_space_group_name_H-M_alt 'P 1'
_space_group_IT_number 1
_cell_length_a 8.8181
_cell_length_b 8.8181
_cell_length_c 7.4104
_cell_angle_alpha 108.28
_cell_angle_beta 108.28
_cell_angle_gamma 28.66
loop_
_space_group_symop_operation_xyz
'x,y,z'
loop_
_atom_site_label
_atom_site_type_symbol
_atom_site_fract_x
_atom_site_fract_y
_atom_site_fract_z
Ce1 Ce 0.0000 0.0000 0.0000
Ce2 Ce 0.3069 0.3069 0.5128
Ce3 Ce 0.3466 0.3466 0.0135
Ce4 Ce 0.6534 0.6534 0.9865
Ce5 Ce 0.6931 0.6931 0.4872
Zr1 Zr 0.0000 0.0000 0.5000
Ge1 Ge 0.1705 0.1705 0.7339
Ge2 Ge 0.4789 0.4789 0.7239
Ge3 Ge 0.5211 0.5211 0.2761
Ge4 Ge 0.8295 0.8295 0.2661
```

- Number 1 is which compound?
  K4PuS4